Entry 1:
Starting from a DFT-relaxed cell (GGA-PBE, the Materials Project), the powder diffraction line list of MgNb2I6O2 was computed for λ = 1.5418 Å (Cu Kα).
Intensities are scaled so that the largest is 100.

Most intense lines, 10 to 90 degrees two-theta, by angle:
| 2θ (°) | I_rel |
| --- | --- |
| 23.58 | 54 |
| 23.70 | 100 |
| 26.01 | 89 |
| 27.09 | 80 |
| 29.13 | 54 |
| 29.80 | 58 |
| 40.07 | 73 |
| 41.22 | 31 |
| 41.27 | 31 |
| 46.10 | 34 |

Structure:
Unit cell a=3.9384 b=7.8464 c=12.0762 alpha=84.25 beta=80.70 gamma=75.49
Element x y z (fractional)
Mg  0.0000  0.0000  0.0000
Nb  0.3650  0.3313  0.9407
Nb  0.6113  0.2186  0.5801
I  0.1519  0.6265  0.0700
I  0.3706  0.5204  0.7342
I  0.3740  0.0948  0.1581
I  0.5868  0.4367  0.3960
I  0.5966  0.9868  0.8197
I  0.8034  0.9083  0.4818
O  0.0919  0.2162  0.6027
O  0.8863  0.2793  0.9497

Entry 2:
Starting from a DFT-relaxed cell (GGA-PBE, the Materials Project), the powder diffraction line list of MgNb2I6O2 was computed for λ = 1.5418 Å (Cu Kα).
Intensities are scaled so that the largest is 100.

Most intense lines, 10 to 90 degrees two-theta, by angle:
| 2θ (°) | I_rel |
| --- | --- |
| 23.38 | 100 |
| 26.55 | 46 |
| 28.15 | 66 |
| 28.52 | 38 |
| 30.71 | 47 |
| 33.24 | 22 |
| 38.78 | 20 |
| 40.14 | 46 |
| 45.52 | 21 |
| 51.07 | 22 |

Structure:
Unit cell a=8.0258 b=8.0258 c=13.4986 alpha=123.36 beta=123.36 gamma=28.75
Element x y z (fractional)
Mg  0.0000  0.0000  0.0000
Nb  0.3796  0.4786  0.3130
Nb  0.5214  0.6204  0.6870
I  0.2216  0.2281  0.1073
I  0.3493  0.3724  0.4665
I  0.4672  0.4728  0.8243
I  0.5272  0.5328  0.1757
I  0.6276  0.6507  0.5335
I  0.7719  0.7784  0.8927
O  0.0485  0.0765  0.6901
O  0.9235  0.9515  0.3099

Entry 3:
Starting from a DFT-relaxed cell (GGA-PBE, the Materials Project), the powder diffraction line list of MgNb2I6O2 was computed for λ = 1.5418 Å (Cu Kα).
Intensities are scaled so that the largest is 100.

Most intense lines, 10 to 90 degrees two-theta, by angle:
| 2θ (°) | I_rel |
| --- | --- |
| 23.62 | 67 |
| 23.78 | 95 |
| 26.24 | 100 |
| 26.67 | 91 |
| 29.21 | 61 |
| 29.74 | 61 |
| 36.90 | 28 |
| 40.39 | 77 |
| 40.83 | 62 |
| 46.25 | 58 |

Structure:
Unit cell a=3.9265 b=7.8843 c=12.1072 alpha=92.60 beta=99.24 gamma=104.40
Element x y z (fractional)
Mg  0.0000  0.0000  0.0000
Nb  0.3044  0.6717  0.9379
Nb  0.4470  0.5836  0.3149
I  0.1055  0.4704  0.7429
I  0.2284  0.3838  0.0752
I  0.3450  0.2825  0.4129
I  0.4180  0.0076  0.8271
I  0.5435  0.9242  0.1653
I  0.6529  0.8069  0.5012
O  0.8383  0.7204  0.9580
O  0.9417  0.5970  0.2908

Entry 4:
Starting from a DFT-relaxed cell (GGA-PBE, the Materials Project), the powder diffraction line list of MgNb2I6O2 was computed for λ = 1.5418 Å (Cu Kα).
Intensities are scaled so that the largest is 100.

Most intense lines, 10 to 90 degrees two-theta, by angle:
| 2θ (°) | I_rel |
| --- | --- |
| 23.67 | 58 |
| 23.81 | 97 |
| 25.03 | 73 |
| 25.63 | 100 |
| 28.79 | 47 |
| 29.37 | 37 |
| 39.17 | 72 |
| 39.79 | 67 |
| 46.55 | 41 |
| 46.82 | 40 |

Structure:
Unit cell a=3.9039 b=8.2163 c=12.6016 alpha=83.56 beta=81.21 gamma=76.27
Element x y z (fractional)
Mg  0.0000  0.0000  0.0000
Nb  0.5659  0.5563  0.3065
Nb  0.8083  0.4646  0.9158
I  0.0087  0.1671  0.8030
I  0.3749  0.8514  0.3928
I  0.5916  0.3339  0.4769
I  0.5916  0.7568  0.0586
I  0.7924  0.6744  0.7337
I  0.8084  0.2520  0.1323
O  0.0822  0.5518  0.2756
O  0.3018  0.4604  0.9331